Theoretical X-ray diffraction stick pattern
Compound: Tb2PmTiN4
Radiation: a wavelength of 1.5418 Å
Structure: the GGA-PBE geometry in Alexandria
Peak positions follow from Bragg's law for the DFT cell and can differ from measured ones.

Most intense lines, 2θ = 10–80°, in order of rising 2θ:
Position (°2θ)  d (Å)  I_rel
27.00  3.303  66
29.89  2.989  40
30.29  2.951  49
31.05  2.880  100
35.57  2.524  36
37.96  2.370  66
43.08  2.100  23
46.99  1.934  27
49.31  1.848  26
52.13  1.754  26
53.56  1.711  17
60.99  1.519  17

Structure:
a = 6.144 Å, b = 6.144 Å, c = 11.957 Å
α = 90.00°, β = 90.00°, γ = 147.66°
Fractional coordinates of all 16 atoms:
1 Tb 0.130 0.870 0.539
2 Tb 0.130 0.870 0.961
3 Tb 0.870 0.130 0.039
4 Tb 0.870 0.130 0.461
5 Pm 0.401 0.599 0.750
6 Pm 0.599 0.401 0.250
7 Ti 0.335 0.665 0.250
8 Ti 0.665 0.335 0.750
9 N 0.068 0.932 0.750
10 N 0.236 0.764 0.126
11 N 0.236 0.764 0.374
12 N 0.500 0.500 0.000
13 N 0.500 0.500 0.500
14 N 0.764 0.236 0.626
15 N 0.764 0.236 0.874
16 N 0.932 0.068 0.250

***

Theoretical X-ray diffraction stick pattern
Compound: PmTcN3
Radiation: a wavelength of 1.5418 Å
Structure: the GGA-PBE geometry in Alexandria
Peak positions follow from Bragg's law for the DFT cell and can differ from measured ones.

Most intense lines, 2θ = 10–80°, in order of rising 2θ:
Position (°2θ)  d (Å)  I_rel
24.91  3.574  13
25.70  3.467  100
27.52  3.241  21
30.35  2.945  47
30.63  2.919  20
32.41  2.762  42
33.69  2.660  16
34.90  2.571  14
37.17  2.419  19
46.86  1.939  22
49.64  1.837  17
53.26  1.720  17

Structure:
a = 7.426 Å, b = 7.426 Å, c = 6.319 Å
α = 105.61°, β = 105.61°, γ = 84.04°
Fractional coordinates of all 20 atoms:
1 Pm 0.092 0.908 0.750
2 Pm 0.306 0.694 0.250
3 Pm 0.694 0.306 0.750
4 Pm 0.908 0.092 0.250
5 Tc 0.202 0.378 0.767
6 Tc 0.378 0.202 0.267
7 Tc 0.622 0.798 0.733
8 Tc 0.798 0.622 0.233
9 N 0.002 0.226 0.661
10 N 0.135 0.621 0.847
11 N 0.226 0.002 0.161
12 N 0.347 0.347 0.052
13 N 0.347 0.347 0.552
14 N 0.379 0.865 0.653
15 N 0.621 0.135 0.347
16 N 0.653 0.653 0.448
17 N 0.653 0.653 0.948
18 N 0.774 0.998 0.839
19 N 0.865 0.379 0.153
20 N 0.998 0.774 0.339

***

Theoretical X-ray diffraction stick pattern
Compound: Pm3Te3N
Radiation: a wavelength of 1.5418 Å
Structure: the GGA-PBE geometry in Alexandria
Peak positions follow from Bragg's law for the DFT cell and can differ from measured ones.

Most intense lines, 2θ = 10–80°, in order of rising 2θ:
Position (°2θ)  d (Å)  I_rel
24.52  3.631  30
25.16  3.539  49
26.51  3.362  22
28.71  3.110  28
28.94  3.085  71
29.20  3.058  67
31.23  2.864  100
32.26  2.775  22
34.79  2.579  35
35.41  2.535  92
38.12  2.361  21
42.39  2.132  49

Structure:
a = 13.845 Å, b = 4.265 Å, c = 14.163 Å
α = 90.00°, β = 90.00°, γ = 90.00°
Fractional coordinates of all 28 atoms:
1 Pm 0.038 0.250 0.159
2 Pm 0.056 0.250 0.636
3 Pm 0.192 0.250 0.853
4 Pm 0.308 0.750 0.353
5 Pm 0.444 0.750 0.136
6 Pm 0.462 0.750 0.659
7 Pm 0.538 0.250 0.341
8 Pm 0.556 0.250 0.864
9 Pm 0.692 0.250 0.647
10 Pm 0.808 0.750 0.147
11 Pm 0.944 0.750 0.364
12 Pm 0.962 0.750 0.841
13 Te 0.105 0.250 0.394
14 Te 0.126 0.750 0.999
15 Te 0.222 0.750 0.681
16 Te 0.278 0.250 0.181
17 Te 0.374 0.250 0.499
18 Te 0.395 0.750 0.894
19 Te 0.605 0.250 0.106
20 Te 0.626 0.750 0.501
21 Te 0.722 0.750 0.819
22 Te 0.778 0.250 0.319
23 Te 0.874 0.250 0.001
24 Te 0.895 0.750 0.606
25 N 0.037 0.250 0.794
26 N 0.463 0.750 0.294
27 N 0.537 0.250 0.706
28 N 0.963 0.750 0.206